Entry 1:
Ac5SnPb6: theoretical powder XRD pattern (λ = 1.5418 Å (Cu Kα)), based on a crystal structure in Alexandria, relaxed with PBE.
No peak broadening, texture or thermal motion is included.

Structure:
```
data_Ac5SnPb6
_symmetry_space_group_name_H-M 'C 1 2/m 1'
_symmetry_Int_Tables_number 12
_symmetry_space_group_name_Hall '-C 2y'
_cell_length_a 17.502
_cell_length_b 9.662
_cell_length_c 5.162
_cell_angle_alpha 90.00
_cell_angle_beta 107.14
_cell_angle_gamma 90.00
loop_
_atom_site_label
_atom_site_type_symbol
_atom_site_fract_x
_atom_site_fract_y
_atom_site_fract_z
_atom_site_occupancy
Ac1 Ac 0.000 0.000 0.000 1
Ac2 Ac 0.139 0.500 0.638 1
Ac3 Ac 0.176 0.000 0.676 1
Sn1 Sn 0.000 0.500 0.000 1
Pb1 Pb 0.000 0.236 0.500 1
Pb2 Pb 0.169 0.247 0.168 1
```

Top 12 peaks for 2θ = 5–70°, sorted by position:
| two_theta | d_spacing | I (rel.) | (hkl) |
| --- | --- | --- | --- |
| 28.23 | 3.161 | 5 | 5 1 0 |
| 29.98 | 2.981 | 100 | 2 2 1 |
| 32.11 | 2.787 | 18 | 6 0 0 |
| 34.76 | 2.581 | 18 | 2 0 -2 |
| 37.22 | 2.416 | 15 | 0 4 0 |
| 48.04 | 1.894 | 12 | 8 0 -2 |
| 49.96 | 1.826 | 11 | 6 4 0 |
| 51.84 | 1.764 | 12 | 2 4 -2 |
| 55.93 | 1.644 | 12 | 8 2 1 |
| 59.38 | 1.557 | 15 | 6 2 -3 |
| 62.30 | 1.490 | 11 | 8 4 -2 |
| 62.69 | 1.482 | 12 | 2 6 1 |

Entry 2:
Ac8Sn3Pb4: theoretical powder XRD pattern (λ = 1.5418 Å (Cu Kα)), based on a crystal structure in Alexandria, relaxed with PBE.
No peak broadening, texture or thermal motion is included.

Structure:
```
data_Ac8Sn3Pb4
_symmetry_space_group_name_H-M 'C 1 2/m 1'
_symmetry_Int_Tables_number 12
_symmetry_space_group_name_Hall '-C 2y'
_cell_length_a 13.700
_cell_length_b 13.678
_cell_length_c 8.358
_cell_angle_alpha 90.00
_cell_angle_beta 127.59
_cell_angle_gamma 90.00
loop_
_atom_site_label
_atom_site_type_symbol
_atom_site_fract_x
_atom_site_fract_y
_atom_site_fract_z
_atom_site_occupancy
Ac1 Ac 0.000 0.249 0.000 1
Ac2 Ac 0.000 0.251 0.500 1
Ac3 Ac 0.248 0.000 0.495 1
Ac4 Ac 0.249 0.000 0.002 1
Sn1 Sn 0.000 0.000 0.000 1
Sn2 Sn 0.250 0.250 0.500 1
Pb1 Pb 0.000 0.500 0.000 1
Pb2 Pb 0.000 0.500 0.500 1
Pb3 Pb 0.250 0.250 0.000 1
```

Top 12 peaks for 2θ = 5–70°, sorted by position:
| two_theta | d_spacing | I (rel.) | (hkl) |
| --- | --- | --- | --- |
| 26.06 | 3.419 | 54 | 0 4 0 |
| 26.92 | 3.311 | 100 | 0 0 2 |
| 33.00 | 2.714 | 30 | 4 0 0 |
| 37.82 | 2.379 | 83 | 0 4 2 |
| 42.53 | 2.126 | 30 | 4 4 0 |
| 43.30 | 2.090 | 14 | 4 0 -4 |
| 51.24 | 1.783 | 18 | 4 4 -4 |
| 55.33 | 1.660 | 14 | 4 0 2 |
| 55.50 | 1.656 | 14 | 0 0 4 |
| 60.99 | 1.519 | 21 | 0 8 2 |
| 62.15 | 1.494 | 20 | 4 4 2 |
| 62.31 | 1.490 | 20 | 0 4 4 |

Entry 3:
Ac7SnPb5: theoretical powder XRD pattern (λ = 1.5418 Å (Cu Kα)), based on a crystal structure in Alexandria, relaxed with PBE.
No peak broadening, texture or thermal motion is included.

Structure:
```
data_Ac7SnPb5
_symmetry_space_group_name_H-M 'I m m 2'
_symmetry_Int_Tables_number 44
_symmetry_space_group_name_Hall 'I 2 -2'
_cell_length_a 6.775
_cell_length_b 12.420
_cell_length_c 11.804
_cell_angle_alpha 90.00
_cell_angle_beta 90.00
_cell_angle_gamma 90.00
loop_
_atom_site_label
_atom_site_type_symbol
_atom_site_fract_x
_atom_site_fract_y
_atom_site_fract_z
_atom_site_occupancy
Ac1 Ac 0.000 0.000 0.000 1
Ac2 Ac 0.000 0.000 0.417 1
Ac3 Ac 0.000 0.324 0.633 1
Ac4 Ac 0.000 0.339 0.108 1
Ac5 Ac 0.000 0.500 0.355 1
Sn1 Sn 0.000 0.000 0.705 1
Pb1 Pb 0.000 0.500 0.861 1
Pb2 Pb 0.247 0.256 0.375 1
```

Top 12 peaks for 2θ = 5–70°, sorted by position:
| two_theta | d_spacing | I (rel.) | (hkl) |
| --- | --- | --- | --- |
| 25.21 | 3.533 | 33 | 1 3 0 |
| 28.75 | 3.105 | 22 | 0 4 0 |
| 29.47 | 3.031 | 63 | 1 3 2 |
| 30.05 | 2.974 | 37 | 2 2 0 |
| 30.29 | 2.951 | 35 | 0 0 4 |
| 30.42 | 2.938 | 27 | 2 0 2 |
| 32.59 | 2.748 | 52 | 0 4 2 |
| 33.75 | 2.656 | 100 | 2 2 2 |
| 33.91 | 2.644 | 36 | 1 1 4 |
| 51.75 | 1.767 | 36 | 2 6 0 |
| 56.05 | 1.641 | 21 | 2 2 6 |
| 61.15 | 1.516 | 20 | 2 6 4 |

Entry 4:
Ac3Sn2Pb: theoretical powder XRD pattern (λ = 1.5418 Å (Cu Kα)), based on a crystal structure in Alexandria, relaxed with PBE.
No peak broadening, texture or thermal motion is included.

Structure:
```
data_Ac3Sn2Pb
_symmetry_space_group_name_H-M 'R -3 c'
_symmetry_Int_Tables_number 167
_symmetry_space_group_name_Hall '-R 3 2"c'
_cell_length_a 9.0166
_cell_length_b 9.0166
_cell_length_c 20.5207
_cell_angle_alpha 90.00
_cell_angle_beta 90.00
_cell_angle_gamma 120.00
loop_
_atom_site_label
_atom_site_type_symbol
_atom_site_fract_x
_atom_site_fract_y
_atom_site_fract_z
_atom_site_occupancy
Ac1 Ac 0.0000 0.3316 0.2500 1
Sn1 Sn 0.0000 0.0000 0.1674 1
Pb1 Pb 0.0000 0.0000 0.0000 1
```

Top 12 peaks for 2θ = 5–70°, sorted by position:
| two_theta | d_spacing | I (rel.) | (hkl) |
| --- | --- | --- | --- |
| 23.64 | 3.764 | 100 | 1 1 3 |
| 32.87 | 2.725 | 81 | 1 1 6 |
| 34.46 | 2.603 | 73 | 3 0 0 |
| 42.21 | 2.141 | 23 | 2 2 3 |
| 44.53 | 2.035 | 19 | 1 1 9 |
| 48.36 | 1.882 | 28 | 2 2 6 |
| 55.58 | 1.653 | 21 | 4 1 3 |
| 57.49 | 1.603 | 9 | 2 2 9 |
| 60.72 | 1.525 | 29 | 4 1 6 |
| 61.73 | 1.503 | 14 | 3 3 0 |
| 65.29 | 1.429 | 24 | 3 0 12 |
| 68.78 | 1.365 | 11 | 4 1 9 |

Entry 5:
Ac7SnPb3: theoretical powder XRD pattern (λ = 1.5418 Å (Cu Kα)), based on a crystal structure in Alexandria, relaxed with PBE.
No peak broadening, texture or thermal motion is included.

Structure:
```
data_Ac7SnPb3
_symmetry_space_group_name_H-M 'C 1 2/m 1'
_symmetry_Int_Tables_number 12
_symmetry_space_group_name_Hall '-C 2y'
_cell_length_a 12.291
_cell_length_b 12.663
_cell_length_c 6.485
_cell_angle_alpha 90.00
_cell_angle_beta 121.79
_cell_angle_gamma 90.00
loop_
_atom_site_label
_atom_site_type_symbol
_atom_site_fract_x
_atom_site_fract_y
_atom_site_fract_z
_atom_site_occupancy
Ac1 Ac 0.000 0.000 0.000 1
Ac2 Ac 0.166 0.265 0.666 1
Ac3 Ac 0.175 0.500 0.176 1
Sn1 Sn 0.000 0.000 0.500 1
Pb1 Pb 0.000 0.267 0.000 1
Pb2 Pb 0.000 0.500 0.500 1
```

Top 12 peaks for 2θ = 5–70°, sorted by position:
| two_theta | d_spacing | I (rel.) | (hkl) |
| --- | --- | --- | --- |
| 22.96 | 3.873 | 16 | 1 1 1 |
| 27.51 | 3.242 | 60 | 2 0 -2 |
| 28.19 | 3.166 | 52 | 0 4 0 |
| 30.52 | 2.929 | 24 | 1 3 1 |
| 32.43 | 2.761 | 100 | 2 2 1 |
| 39.80 | 2.265 | 42 | 2 4 -2 |
| 51.83 | 1.764 | 27 | 6 2 -3 |
| 52.64 | 1.739 | 21 | 2 6 1 |
| 60.34 | 1.534 | 14 | 8 0 -2 |
| 60.70 | 1.526 | 12 | 6 4 0 |
| 64.58 | 1.443 | 12 | 4 4 -4 |
| 67.90 | 1.380 | 18 | 8 4 -2 |

Entry 6:
Ac7SnPb4: theoretical powder XRD pattern (λ = 1.5418 Å (Cu Kα)), based on a crystal structure in Alexandria, relaxed with PBE.
No peak broadening, texture or thermal motion is included.

Structure:
```
data_Ac7SnPb4
_symmetry_space_group_name_H-M 'C 1 2/m 1'
_symmetry_Int_Tables_number 12
_symmetry_space_group_name_Hall '-C 2y'
_cell_length_a 18.100
_cell_length_b 6.249
_cell_length_c 9.571
_cell_angle_alpha 90.00
_cell_angle_beta 120.06
_cell_angle_gamma 90.00
loop_
_atom_site_label
_atom_site_type_symbol
_atom_site_fract_x
_atom_site_fract_y
_atom_site_fract_z
_atom_site_occupancy
Ac1 Ac 0.000 0.000 0.000 1
Ac2 Ac 0.068 0.500 0.732 1
Ac3 Ac 0.161 0.500 0.387 1
Ac4 Ac 0.211 0.000 0.827 1
Sn1 Sn 0.000 0.500 0.000 1
Pb1 Pb 0.057 0.000 0.412 1
Pb2 Pb 0.220 0.000 0.204 1
```

Top 12 peaks for 2θ = 5–70°, sorted by position:
| two_theta | d_spacing | I (rel.) | (hkl) |
| --- | --- | --- | --- |
| 28.22 | 3.162 | 42 | 3 1 1 |
| 28.38 | 3.144 | 58 | 2 0 -3 |
| 28.57 | 3.124 | 100 | 0 2 0 |
| 28.71 | 3.109 | 80 | 5 1 -1 |
| 29.00 | 3.079 | 29 | 2 0 2 |
| 29.43 | 3.035 | 72 | 5 1 -2 |
| 36.74 | 2.446 | 24 | 3 1 2 |
| 40.70 | 2.217 | 50 | 2 2 -3 |
| 41.16 | 2.193 | 23 | 2 2 2 |
| 41.71 | 2.165 | 22 | 8 0 -1 |
| 50.71 | 1.800 | 22 | 5 3 -1 |
| 59.13 | 1.562 | 22 | 0 4 0 |